(1)
Rb2Pu2NiSe6: theoretical X-ray diffraction stick pattern (CuKα), based on the PBE geometry in Alexandria.
Intensities are scaled so that the largest is 100.

Principal peaks in the range 5° ≤ 2θ ≤ 70°, most intense first:
2θ/deg, intensity
10.82, 100
29.64, 79
29.19, 39
44.89, 31
39.10, 23
45.40, 21
36.53, 20
39.24, 15

Structural model:
a = 6.9451 Å, b = 6.9451 Å, c = 8.5268 Å
α = 98.27°, β = 98.27°, γ = 119.30°
Fractional coordinates of all 11 atoms:
Rb 0.1713 0.8287 0.0000
Rb 0.8287 0.1713 0.0000
Pu 0.3325 0.6675 0.5000
Pu 0.6675 0.3325 0.5000
Ni 0.0000 0.0000 0.5000
Se 0.0661 0.3720 0.6824
Se 0.2420 0.2420 0.3210
Se 0.3720 0.0661 0.6824
Se 0.6280 0.9339 0.3176
Se 0.7580 0.7580 0.6790
Se 0.9339 0.6280 0.3176

---

(2)
MnCrFe2: theoretical X-ray diffraction stick pattern (CuKα), based on the PBE geometry in Alexandria.
Intensities are scaled so that the largest is 100.

Principal peaks in the range 5° ≤ 2θ ≤ 70°, most intense first:
2θ/deg, intensity
45.07, 100
65.64, 15

Structural model:
a = 4.0229 Å, b = 4.0229 Å, c = 4.0229 Å
α = 60.00°, β = 60.00°, γ = 60.00°
Fractional coordinates of all 4 atoms:
Mn 0.0000 0.0000 0.0000
Cr 0.2500 0.2500 0.2500
Fe 0.5000 0.5000 0.5000
Fe 0.7500 0.7500 0.7500